For BaSrPrCoO6, a crystal structure in the Materials Project, relaxed with GGA+U gives the simulated X-ray diffraction stick pattern in this record (CuKα).

Top 10 peaks for 2θ from 5° to 70°, low angle first:
d 4.821, 2θ 18.40, I = 8
d 2.953, 2θ 30.27, I = 100
d 2.518, 2θ 35.66, I = 7
d 2.411, 2θ 37.30, I = 3
d 2.088, 2θ 43.34, I = 31
d 1.916, 2θ 47.46, I = 5
d 1.705, 2θ 53.78, I = 39
d 1.607, 2θ 57.33, I = 2
d 1.476, 2θ 62.96, I = 19
d 1.412, 2θ 66.21, I = 2

Structural model:
Cell lengths 5.905, 5.905, 5.905 Å; angles 60.00, 60.00, 60.00 degrees
Element x y z (fractional)
Ba: 0.000 0.000 0.000
Sr: 0.500 0.500 0.500
Pr: 0.250 0.250 0.250
Co: 0.750 0.750 0.750
O: 0.526 0.526 0.974
O: 0.526 0.974 0.526
O: 0.526 0.974 0.974
O: 0.974 0.526 0.526
O: 0.974 0.526 0.974
O: 0.974 0.974 0.526